No. 1
Calculated powder XRD pattern
Compound: K2Li3Cl5
Radiation: Cu Kα X-rays
Structure: a DFT-relaxed cell (GGA-PBE, Alexandria)
Kinematic intensities with the Lorentz-polarization factor, no thermal factor.

Most intense lines, 10 to 80 degrees two-theta, most intense first:
- 29.4°, intensity 100
- 31.5°, intensity 98
- 31.0°, intensity 96
- 30.5°, intensity 88
- 29.0°, intensity 65
- 31.7°, intensity 63
- 33.6°, intensity 58
- 44.8°, intensity 45
- 36.7°, intensity 40
- 55.2°, intensity 30
- 53.2°, intensity 27
- 28.1°, intensity 24

```
data_K2Li3Cl5
_cell_length_a 13.8589
_cell_length_b 4.0458
_cell_length_c 9.5307
_cell_angle_alpha 90.00
_cell_angle_beta 117.00
_cell_angle_gamma 90.00
_symmetry_space_group_name_H-M 'C 1 2/m 1'
_symmetry_Int_Tables_number 12
loop_
_symmetry_equiv_pos_as_xyz
'x,y,z'
'-x,-y,-z'
'-x,y,-z'
'x,-y,z'
'x+1/2,y+1/2,z'
'-x+1/2,-y+1/2,-z'
'-x+1/2,y+1/2,-z'
'x+1/2,-y+1/2,z'
loop_
_atom_site_label
_atom_site_fract_x
_atom_site_fract_y
_atom_site_fract_z
K1 0.1829 0.0000 0.2431
Li1 0.0000 0.0000 0.5000
Li2 0.0639 0.5000 0.8073
Cl1 0.0000 0.5000 0.0000
Cl2 0.0991 0.5000 0.4299
Cl3 0.1496 0.0000 0.7950
```

***

No. 2
Calculated powder XRD pattern
Compound: V2PPd8
Radiation: Cu Kα X-rays
Structure: a DFT-relaxed cell (GGA-PBE, Alexandria)
Kinematic intensities with the Lorentz-polarization factor, no thermal factor.

Most intense lines, 10 to 80 degrees two-theta, most intense first:
- 37.4°, intensity 100
- 43.0°, intensity 87
- 36.2°, intensity 72
- 39.9°, intensity 66
- 43.4°, intensity 51
- 40.2°, intensity 47
- 35.6°, intensity 37
- 36.8°, intensity 32
- 44.2°, intensity 31
- 46.5°, intensity 27
- 28.0°, intensity 24
- 35.2°, intensity 19

```
data_V2PPd8
_cell_length_a 15.4811
_cell_length_b 4.2059
_cell_length_c 5.4250
_cell_angle_alpha 90.00
_cell_angle_beta 108.97
_cell_angle_gamma 90.00
_symmetry_space_group_name_H-M 'C 1 2/m 1'
_symmetry_Int_Tables_number 12
loop_
_symmetry_equiv_pos_as_xyz
'x,y,z'
'-x,-y,-z'
'-x,y,-z'
'x,-y,z'
'x+1/2,y+1/2,z'
'-x+1/2,-y+1/2,-z'
'-x+1/2,y+1/2,-z'
'x+1/2,-y+1/2,z'
loop_
_atom_site_label
_atom_site_fract_x
_atom_site_fract_y
_atom_site_fract_z
V1 0.1833 0.0000 0.2402
P1 0.0000 0.5000 0.5000
Pd1 0.0251 0.0000 0.2761
Pd2 0.0976 0.5000 0.9373
Pd3 0.1488 0.5000 0.4689
Pd4 0.2177 0.0000 0.8162
```

***

No. 3
Calculated powder XRD pattern
Compound: Pr5NdTm5
Radiation: Cu Kα X-rays
Structure: a DFT-relaxed cell (GGA-PBE, Alexandria)
Kinematic intensities with the Lorentz-polarization factor, no thermal factor.

Most intense lines, 10 to 80 degrees two-theta, most intense first:
- 33.1°, intensity 100
- 29.7°, intensity 77
- 30.3°, intensity 31
- 43.0°, intensity 24
- 54.9°, intensity 24
- 27.1°, intensity 21
- 29.3°, intensity 19
- 60.8°, intensity 17
- 28.2°, intensity 16
- 36.2°, intensity 14
- 40.7°, intensity 14
- 58.0°, intensity 14

```
data_Pr5NdTm5
_cell_length_a 19.0497
_cell_length_b 6.0063
_cell_length_c 7.0745
_cell_angle_alpha 90.00
_cell_angle_beta 111.71
_cell_angle_gamma 90.00
_symmetry_space_group_name_H-M 'C 1 2/m 1'
_symmetry_Int_Tables_number 12
loop_
_symmetry_equiv_pos_as_xyz
'x,y,z'
'-x,-y,-z'
'-x,y,-z'
'x,-y,z'
'x+1/2,y+1/2,z'
'-x+1/2,-y+1/2,-z'
'-x+1/2,y+1/2,-z'
'x+1/2,-y+1/2,z'
loop_
_atom_site_label
_atom_site_fract_x
_atom_site_fract_y
_atom_site_fract_z
Pr1 0.0000 0.0000 0.0000
Pr2 0.1766 0.5000 0.4207
Pr3 0.1766 0.5000 0.9329
Nd1 0.0000 0.5000 0.0000
Tm1 0.0000 0.5000 0.5000
Tm2 0.1213 0.0000 0.6218
Tm3 0.1692 0.0000 0.1697
```

***

No. 4
Calculated powder XRD pattern
Compound: KCd4Ga5S12
Radiation: Cu Kα X-rays
Structure: a DFT-relaxed cell (GGA-PBE, Alexandria)
Kinematic intensities with the Lorentz-polarization factor, no thermal factor.

Most intense lines, 10 to 80 degrees two-theta, most intense first:
- 28.0°, intensity 100
- 27.8°, intensity 99
- 28.2°, intensity 94
- 28.5°, intensity 93
- 46.0°, intensity 42
- 46.3°, intensity 41
- 46.4°, intensity 40
- 46.7°, intensity 39
- 47.1°, intensity 38
- 12.0°, intensity 34
- 48.2°, intensity 33
- 33.2°, intensity 33

```
data_KCd4Ga5S12
_cell_length_a 8.5987
_cell_length_b 8.6227
_cell_length_c 8.9565
_cell_angle_alpha 108.67
_cell_angle_beta 106.48
_cell_angle_gamma 108.39
_symmetry_space_group_name_H-M 'P 1'
_symmetry_Int_Tables_number 1
loop_
_symmetry_equiv_pos_as_xyz
'x,y,z'
loop_
_atom_site_label
_atom_site_fract_x
_atom_site_fract_y
_atom_site_fract_z
K1 0.0000 0.0000 0.0000
Cd1 0.4042 0.6412 0.6951
Cd2 0.4915 0.3298 0.9068
Cd3 0.6192 0.6944 0.3744
Cd4 0.7154 0.3977 0.6112
Ga1 0.0180 0.1738 0.5258
Ga2 0.1813 0.5392 0.9978
Ga3 0.3159 0.9216 0.4400
Ga4 0.5561 0.0135 0.1657
Ga5 0.9340 0.4616 0.3055
S1 0.0657 0.6616 0.1958
S2 0.1415 0.3633 0.4162
S3 0.2089 0.0566 0.6300
S4 0.2947 0.7737 0.9275
S5 0.3474 0.4161 0.1139
S6 0.4295 0.1301 0.3400
S7 0.5385 0.8782 0.5996
S8 0.6574 0.5824 0.8479
S9 0.6961 0.2055 0.0608
S10 0.7741 0.9292 0.2760
S11 0.8729 0.6241 0.5141
S12 0.9388 0.2863 0.7497
```

***

No. 5
Calculated powder XRD pattern
Compound: NdNi2PN
Radiation: Cu Kα X-rays
Structure: a DFT-relaxed cell (GGA-PBE, Alexandria)
Kinematic intensities with the Lorentz-polarization factor, no thermal factor.

Most intense lines, 10 to 80 degrees two-theta, most intense first:
- 34.8°, intensity 100
- 37.5°, intensity 88
- 31.0°, intensity 35
- 37.3°, intensity 32
- 51.0°, intensity 27
- 65.7°, intensity 17
- 43.4°, intensity 17
- 64.3°, intensity 16
- 54.1°, intensity 15
- 63.2°, intensity 14
- 55.7°, intensity 13
- 26.1°, intensity 13

```
data_NdNi2PN
_cell_length_a 3.5827
_cell_length_b 11.1398
_cell_length_c 6.7523
_cell_angle_alpha 90.00
_cell_angle_beta 90.00
_cell_angle_gamma 90.00
_symmetry_space_group_name_H-M 'C m c m'
_symmetry_Int_Tables_number 63
_symmetry_space_group_name_Hall '-C 2c 2'
loop_
_atom_site_label
_atom_site_fract_x
_atom_site_fract_y
_atom_site_fract_z
Nd1 0.0000 0.0399 0.2500
Ni1 0.0000 0.3262 0.0553
P1 0.0000 0.2317 0.7500
N1 0.0000 0.5000 0.0000
```

***

No. 6
Calculated powder XRD pattern
Compound: CeHo2C2
Radiation: Cu Kα X-rays
Structure: a DFT-relaxed cell (GGA-PBE, Alexandria)
Kinematic intensities with the Lorentz-polarization factor, no thermal factor.

Most intense lines, 10 to 80 degrees two-theta, most intense first:
- 31.3°, intensity 100
- 32.8°, intensity 57
- 38.5°, intensity 43
- 28.5°, intensity 38
- 50.6°, intensity 36
- 51.3°, intensity 34
- 59.1°, intensity 30
- 29.3°, intensity 21
- 28.8°, intensity 18
- 60.8°, intensity 16
- 63.6°, intensity 15
- 18.9°, intensity 12

```
data_CeHo2C2
_cell_length_a 3.6059
_cell_length_b 3.6059
_cell_length_c 28.1642
_cell_angle_alpha 90.00
_cell_angle_beta 90.00
_cell_angle_gamma 120.00
_symmetry_space_group_name_H-M 'R -3 m'
_symmetry_Int_Tables_number 166
_symmetry_space_group_name_Hall '-R 3 2"'
loop_
_atom_site_label
_atom_site_fract_x
_atom_site_fract_y
_atom_site_fract_z
Ce1 0.0000 0.0000 0.0000
Ho1 0.0000 0.0000 0.2324
C1 0.0000 0.0000 0.3910
```

***

No. 7
Calculated powder XRD pattern
Compound: KSrTiSe3
Radiation: Cu Kα X-rays
Structure: a DFT-relaxed cell (GGA-PBE, Alexandria)
Kinematic intensities with the Lorentz-polarization factor, no thermal factor.

Most intense lines, 10 to 80 degrees two-theta, most intense first:
- 34.8°, intensity 100
- 26.9°, intensity 94
- 10.3°, intensity 69
- 32.8°, intensity 63
- 36.1°, intensity 60
- 29.1°, intensity 44
- 20.7°, intensity 41
- 49.6°, intensity 37
- 42.9°, intensity 34
- 63.4°, intensity 24
- 40.6°, intensity 22
- 64.1°, intensity 21

```
data_KSrTiSe3
_cell_length_a 16.9537
_cell_length_b 4.9767
_cell_length_c 8.8875
_cell_angle_alpha 90.00
_cell_angle_beta 105.09
_cell_angle_gamma 90.00
_symmetry_space_group_name_H-M 'C 1 2/m 1'
_symmetry_Int_Tables_number 12
loop_
_symmetry_equiv_pos_as_xyz
'x,y,z'
'-x,-y,-z'
'-x,y,-z'
'x,-y,z'
'x+1/2,y+1/2,z'
'-x+1/2,-y+1/2,-z'
'-x+1/2,y+1/2,-z'
'x+1/2,-y+1/2,z'
loop_
_atom_site_label
_atom_site_fract_x
_atom_site_fract_y
_atom_site_fract_z
K1 0.1437 0.0000 0.0695
Sr1 0.1582 0.0000 0.5812
Ti1 0.0002 0.5000 0.3209
Se1 0.0026 0.0000 0.2964
Se2 0.1491 0.5000 0.8055
Se3 0.1533 0.5000 0.3427
```

***

No. 8
Calculated powder XRD pattern
Compound: DyHo12Co6
Radiation: Cu Kα X-rays
Structure: a DFT-relaxed cell (GGA-PBE, Alexandria)
Kinematic intensities with the Lorentz-polarization factor, no thermal factor.

Most intense lines, 10 to 80 degrees two-theta, most intense first:
- 34.5°, intensity 100
- 29.1°, intensity 53
- 31.9°, intensity 51
- 58.6°, intensity 40
- 55.1°, intensity 37
- 47.7°, intensity 26
- 68.3°, intensity 19
- 37.0°, intensity 18
- 56.9°, intensity 13
- 71.3°, intensity 9
- 39.3°, intensity 7
- 25.9°, intensity 6

```
data_DyHo12Co6
_cell_length_a 9.7150
_cell_length_b 9.7150
_cell_length_c 9.7150
_cell_angle_alpha 90.00
_cell_angle_beta 90.00
_cell_angle_gamma 90.00
_symmetry_space_group_name_H-M 'I m -3'
_symmetry_Int_Tables_number 204
_symmetry_space_group_name_Hall '-I 2 2 3'
loop_
_atom_site_label
_atom_site_fract_x
_atom_site_fract_y
_atom_site_fract_z
Dy1 0.0000 0.0000 0.0000
Ho1 0.0000 0.1937 0.3087
Co1 0.0000 0.3862 0.5000
```